For Li2Ti3NbO8, the GGA-PBE geometry in Alexandria gives the simulated powder diffractogram in this record (CuKα).
Kinematic intensities with the Lorentz-polarization factor, no thermal factor.

Atomic structure:
Cell lengths 8.556, 8.556, 8.556 Å; angles 90.00, 90.00, 90.00 degrees
Fractional positions:
Li (0.003, 0.497, 0.503)
Li (0.247, 0.747, 0.753)
Li (0.253, 0.253, 0.253)
Li (0.497, 0.503, 0.003)
Li (0.503, 0.003, 0.497)
Li (0.747, 0.753, 0.247)
Li (0.753, 0.247, 0.747)
Li (0.997, 0.997, 0.997)
Ti (0.124, 0.126, 0.625)
Ti (0.125, 0.376, 0.874)
Ti (0.126, 0.625, 0.124)
Ti (0.374, 0.375, 0.624)
Ti (0.375, 0.624, 0.374)
Ti (0.376, 0.874, 0.125)
Ti (0.624, 0.374, 0.375)
Ti (0.625, 0.124, 0.126)
Ti (0.626, 0.875, 0.876)
Ti (0.874, 0.125, 0.376)
Ti (0.875, 0.876, 0.626)
Ti (0.876, 0.626, 0.875)
Nb (0.125, 0.875, 0.375)
Nb (0.375, 0.125, 0.875)
Nb (0.625, 0.625, 0.625)
Nb (0.875, 0.375, 0.125)
O (0.110, 0.119, 0.388)
O (0.111, 0.611, 0.889)
O (0.112, 0.890, 0.619)
O (0.119, 0.388, 0.110)
O (0.131, 0.140, 0.862)
O (0.138, 0.631, 0.360)
O (0.139, 0.361, 0.639)
O (0.140, 0.862, 0.131)
O (0.360, 0.138, 0.631)
O (0.361, 0.639, 0.139)
O (0.362, 0.369, 0.860)
O (0.369, 0.860, 0.362)
O (0.381, 0.612, 0.610)
O (0.388, 0.110, 0.119)
O (0.389, 0.389, 0.389)
O (0.390, 0.881, 0.888)
O (0.610, 0.381, 0.612)
O (0.611, 0.889, 0.111)
O (0.612, 0.610, 0.381)
O (0.619, 0.112, 0.890)
O (0.631, 0.360, 0.138)
O (0.638, 0.869, 0.640)
O (0.639, 0.139, 0.361)
O (0.640, 0.638, 0.869)
O (0.860, 0.362, 0.369)
O (0.861, 0.861, 0.861)
O (0.862, 0.131, 0.140)
O (0.869, 0.640, 0.638)
O (0.881, 0.888, 0.390)
O (0.888, 0.390, 0.881)
O (0.889, 0.111, 0.611)
O (0.890, 0.619, 0.112)

Peak list (6 most intense, 10 to 90 degrees two-theta, by angle)
Position (°2θ)  Rel. int.
17.96  100
34.77  48
42.25  57
55.83  21
61.28  35
64.42  15


For Li2Ti3NbO8, the GGA-PBE geometry in Alexandria gives the simulated powder diffractogram in this record (CuKα).
Kinematic intensities with the Lorentz-polarization factor, no thermal factor.

Atomic structure:
Cell lengths 6.059, 6.059, 6.059 Å; angles 59.83, 59.83, 59.83 degrees
Fractional positions:
Li (0.125, 0.125, 0.125)
Li (0.875, 0.875, 0.875)
Ti (0.000, 0.500, 0.500)
Ti (0.500, 0.000, 0.500)
Ti (0.500, 0.500, 0.000)
Nb (0.500, 0.500, 0.500)
O (0.257, 0.257, 0.716)
O (0.257, 0.716, 0.257)
O (0.264, 0.264, 0.264)
O (0.284, 0.743, 0.743)
O (0.716, 0.257, 0.257)
O (0.736, 0.736, 0.736)
O (0.743, 0.284, 0.743)
O (0.743, 0.743, 0.284)

Peak list (6 most intense, 10 to 90 degrees two-theta, by angle)
Position (°2θ)  Rel. int.
17.97  100
34.76  49
42.24  53
55.82  13
61.19  16
61.36  16


For Li7Ti7Nb5O30, the GGA-PBE geometry in Alexandria gives the simulated powder diffractogram in this record (CuKα).
Kinematic intensities with the Lorentz-polarization factor, no thermal factor.

Atomic structure:
Cell lengths 5.180, 5.180, 23.770 Å; angles 90.00, 90.00, 120.00 degrees
Fractional positions:
Li (0.000, 0.000, 0.000)
Li (0.000, 0.000, 0.157)
Li (0.000, 0.000, 0.449)
Li (0.000, 0.000, 0.709)
Li (0.333, 0.667, 0.878)
Li (0.667, 0.333, 0.543)
Li (0.667, 0.333, 0.806)
Ti (0.333, 0.667, 0.100)
Ti (0.333, 0.667, 0.365)
Ti (0.333, 0.667, 0.489)
Ti (0.333, 0.667, 0.976)
Ti (0.667, 0.333, 0.069)
Ti (0.667, 0.333, 0.195)
Ti (0.667, 0.333, 0.389)
Nb (0.000, 0.000, 0.281)
Nb (0.000, 0.000, 0.577)
Nb (0.000, 0.000, 0.877)
Nb (0.333, 0.667, 0.771)
Nb (0.667, 0.333, 0.674)
O (0.016, 0.399, 0.426)
O (0.022, 0.390, 0.038)
O (0.038, 0.709, 0.525)
O (0.048, 0.338, 0.828)
O (0.088, 0.756, 0.933)
O (0.244, 0.332, 0.933)
O (0.290, 0.952, 0.828)
O (0.291, 0.329, 0.525)
O (0.327, 0.060, 0.234)
O (0.331, 0.329, 0.335)
O (0.332, 0.065, 0.627)
O (0.368, 0.978, 0.038)
O (0.375, 0.366, 0.728)
O (0.383, 0.984, 0.426)
O (0.391, 0.369, 0.133)
O (0.601, 0.617, 0.426)
O (0.610, 0.632, 0.038)
O (0.631, 0.022, 0.133)
O (0.634, 0.009, 0.728)
O (0.662, 0.710, 0.828)
O (0.668, 0.912, 0.933)
O (0.671, 0.002, 0.335)
O (0.671, 0.962, 0.525)
O (0.732, 0.668, 0.627)
O (0.733, 0.673, 0.234)
O (0.935, 0.268, 0.627)
O (0.940, 0.267, 0.234)
O (0.978, 0.609, 0.133)
O (0.991, 0.625, 0.728)
O (0.998, 0.669, 0.335)

Peak list (6 most intense, 10 to 90 degrees two-theta, by angle)
Position (°2θ)  Rel. int.
21.17  27
22.78  100
24.87  31
33.09  33
34.64  37
52.24  45


For Li4Ti5Nb3O16, the GGA-PBE geometry in Alexandria gives the simulated powder diffractogram in this record (CuKα).
Kinematic intensities with the Lorentz-polarization factor, no thermal factor.

Atomic structure:
Cell lengths 5.973, 5.973, 9.898 Å; angles 90.59, 90.59, 59.79 degrees
Fractional positions:
Li (0.000, 0.000, 0.000)
Li (0.014, 0.014, 0.492)
Li (0.349, 0.349, 0.409)
Li (0.689, 0.689, 0.892)
Ti (0.197, 0.679, 0.720)
Ti (0.340, 0.340, 0.998)
Ti (0.679, 0.197, 0.720)
Ti (0.691, 0.691, 0.494)
Ti (0.838, 0.838, 0.224)
Nb (0.190, 0.190, 0.718)
Nb (0.384, 0.819, 0.216)
Nb (0.819, 0.384, 0.216)
O (0.011, 0.011, 0.311)
O (0.015, 0.015, 0.818)
O (0.062, 0.507, 0.846)
O (0.182, 0.182, 0.091)
O (0.185, 0.672, 0.099)
O (0.352, 0.855, 0.600)
O (0.358, 0.358, 0.607)
O (0.503, 0.503, 0.836)
O (0.507, 0.062, 0.846)
O (0.531, 0.531, 0.363)
O (0.535, 0.982, 0.351)
O (0.672, 0.185, 0.099)
O (0.700, 0.700, 0.082)
O (0.854, 0.854, 0.603)
O (0.855, 0.352, 0.600)
O (0.982, 0.535, 0.351)

Peak list (6 most intense, 10 to 90 degrees two-theta, by angle)
Position (°2θ)  Rel. int.
17.92  100
19.32  81
19.44  45
35.22  32
35.93  40
44.73  40